Calculated XRD peak list
Compound: CeSe2
Radiation: Cu Kα (λ = 1.5418 Å)
Structure: a crystal structure in the Materials Project, relaxed with PBE

Atomic structure:
```
data_CeSe2
_cell_length_a 6.651
_cell_length_b 6.651
_cell_length_c 4.402
_cell_angle_alpha 90.00
_cell_angle_beta 90.00
_cell_angle_gamma 90.00
_space_group_name_H-M_alt 'P 42/m n m'
_space_group_IT_number 136
_space_group_name_Hall '-P 4n 2n'
loop_
_atom_site_label
_atom_site_type_symbol
_atom_site_fract_x
_atom_site_fract_y
_atom_site_fract_z
Ce1 Ce 0.000 0.000 0.000
Se1 Se 0.194 0.194 0.500
```

Largest 10 diffraction maxima, sorted by position, 2θ from 5° to 70°:
| 2theta | intensity | (hkl) |
| --- | --- | --- |
| 18.87 | 100 | 1 1 0 |
| 24.25 | 31 | 1 0 1 |
| 27.76 | 62 | 1 1 1 |
| 30.04 | 24 | 2 1 0 |
| 36.46 | 99 | 2 1 1 |
| 38.27 | 35 | 2 2 0 |
| 41.01 | 24 | 0 0 2 |
| 45.50 | 20 | 1 1 2 |
| 45.83 | 61 | 3 0 1 |
| 57.34 | 22 | 2 2 2 |